1.
Structure and simulated powder diffractogram of LiIn2Hg8 (the GGA-PBE geometry in Alexandria; Cu Kα (λ = 1.5418 Å)).
Kinematic intensities with the Lorentz-polarization factor, no thermal factor.

Main lines, sorted by position (5 to 70 degrees two-theta):
- 2θ 25.6, intensity 12.2
- 2θ 26.7, intensity 10.9
- 2θ 29.9, intensity 29.7
- 2θ 34.5, intensity 100.0
- 2θ 36.5, intensity 53.8
- 2θ 38.5, intensity 12.8
- 2θ 52.6, intensity 19.1
- 2θ 54.1, intensity 19.2
- 2θ 64.4, intensity 33.4
- 2θ 69.8, intensity 15.1

Structural model:
Cell lengths 4.9254, 4.9254, 11.6966 Å; angles 90.00, 90.00, 90.00 degrees
Element x y z (fractional)
Li1 0.0000 0.0000 0.0000
In1 0.0000 0.0000 0.3150
In2 0.0000 0.0000 0.6850
Hg1 0.0000 0.5000 0.1324
Hg2 0.0000 0.5000 0.5000
Hg3 0.0000 0.5000 0.8676
Hg4 0.5000 0.0000 0.1324
Hg5 0.5000 0.0000 0.5000
Hg6 0.5000 0.0000 0.8676
Hg7 0.5000 0.5000 0.3177
Hg8 0.5000 0.5000 0.6823


2.
Structure and simulated powder diffractogram of Li2In2Hg3 (the GGA-PBE geometry in Alexandria; Cu Kα (λ = 1.5418 Å)).
Kinematic intensities with the Lorentz-polarization factor, no thermal factor.

Main lines, sorted by position (5 to 70 degrees two-theta):
- 2θ 17.1, intensity 71.2
- 2θ 23.9, intensity 34.8
- 2θ 29.5, intensity 95.0
- 2θ 30.6, intensity 100.0
- 2θ 31.2, intensity 61.1
- 2θ 32.2, intensity 92.7
- 2θ 34.3, intensity 52.9
- 2θ 34.5, intensity 41.5
- 2θ 39.0, intensity 65.5
- 2θ 39.4, intensity 71.9

Structural model:
Cell lengths 5.7708, 10.3905, 6.0669 Å; angles 90.00, 117.98, 90.00 degrees
Element x y z (fractional)
Li1 0.1075 0.1876 0.4384
Li2 0.1075 0.3124 0.9384
Li3 0.8925 0.6876 0.0616
Li4 0.8925 0.8124 0.5616
In1 0.3871 0.7102 0.5361
In2 0.3871 0.7898 0.0361
In3 0.6129 0.2102 0.9639
In4 0.6129 0.2898 0.4639
Hg1 0.1229 0.0493 0.8346
Hg2 0.1229 0.4507 0.3346
Hg3 0.5000 0.0000 0.5000
Hg4 0.5000 0.5000 0.0000
Hg5 0.8771 0.5493 0.6654
Hg6 0.8771 0.9507 0.1654


3.
Structure and simulated powder diffractogram of LiIn9Hg6 (the GGA-PBE geometry in Alexandria; Cu Kα (λ = 1.5418 Å)).
Kinematic intensities with the Lorentz-polarization factor, no thermal factor.

Main lines, sorted by position (5 to 70 degrees two-theta):
- 2θ 21.0, intensity 11.4
- 2θ 26.1, intensity 7.3
- 2θ 32.6, intensity 100.0
- 2θ 34.6, intensity 48.6
- 2θ 45.6, intensity 9.3
- 2θ 49.8, intensity 7.6
- 2θ 63.9, intensity 8.6
- 2θ 65.3, intensity 8.7
- 2θ 65.4, intensity 8.7
- 2θ 66.1, intensity 9.8

Structural model:
Cell lengths 8.4981, 8.4981, 8.1772 Å; angles 118.74, 118.74, 94.15 degrees
Element x y z (fractional)
Li1 0.0000 0.0000 0.0000
In1 0.0043 0.6838 0.4883
In2 0.1955 0.5160 0.1994
In3 0.3162 0.9957 0.5117
In4 0.4840 0.8045 0.8006
In5 0.5000 0.5000 0.0000
In6 0.5160 0.1955 0.1994
In7 0.6838 0.0043 0.4883
In8 0.8045 0.4840 0.8006
In9 0.9957 0.3162 0.5117
Hg1 0.1381 0.1381 0.8039
Hg2 0.2359 0.7641 0.0000
Hg3 0.3346 0.3346 0.4725
Hg4 0.6654 0.6654 0.5275
Hg5 0.7641 0.2359 0.0000
Hg6 0.8619 0.8619 0.1961


4.
Structure and simulated powder diffractogram of LiIn7Hg4 (the GGA-PBE geometry in Alexandria; Cu Kα (λ = 1.5418 Å)).
Kinematic intensities with the Lorentz-polarization factor, no thermal factor.

Main lines, sorted by position (5 to 70 degrees two-theta):
- 2θ 23.9, intensity 21.7
- 2θ 27.5, intensity 51.8
- 2θ 31.8, intensity 60.5
- 2θ 36.3, intensity 100.0
- 2θ 36.7, intensity 35.4
- 2θ 46.1, intensity 13.2
- 2θ 49.0, intensity 17.8
- 2θ 59.8, intensity 15.9
- 2θ 62.5, intensity 16.9
- 2θ 65.3, intensity 17.8

Structural model:
Cell lengths 4.9491, 4.9491, 14.9148 Å; angles 90.00, 90.00, 120.00 degrees
Element x y z (fractional)
Li1 0.0000 0.0000 0.0000
In1 0.0000 0.0000 0.2376
In2 0.0000 0.0000 0.5000
In3 0.0000 0.0000 0.7624
In4 0.3333 0.6667 0.6553
In5 0.3333 0.6667 0.8666
In6 0.6667 0.3333 0.1334
In7 0.6667 0.3333 0.3447
Hg1 0.3333 0.6667 0.0765
Hg2 0.3333 0.6667 0.4079
Hg3 0.6667 0.3333 0.5921
Hg4 0.6667 0.3333 0.9235


5.
Structure and simulated powder diffractogram of Li5In2Hg5 (the GGA-PBE geometry in Alexandria; Cu Kα (λ = 1.5418 Å)).
Kinematic intensities with the Lorentz-polarization factor, no thermal factor.

Main lines, sorted by position (5 to 70 degrees two-theta):
- 2θ 22.4, intensity 27.3
- 2θ 23.8, intensity 47.8
- 2θ 24.7, intensity 33.5
- 2θ 27.1, intensity 48.8
- 2θ 31.7, intensity 54.8
- 2θ 33.4, intensity 42.9
- 2θ 37.1, intensity 30.8
- 2θ 38.5, intensity 100.0
- 2θ 39.0, intensity 34.5
- 2θ 63.6, intensity 36.5

Structural model:
Cell lengths 13.4087, 13.4087, 13.4087 Å; angles 20.08, 20.08, 20.08 degrees
Element x y z (fractional)
Li1 0.0000 0.0000 0.0000
Li2 0.1463 0.1463 0.1463
Li3 0.3772 0.3772 0.3772
Li4 0.6228 0.6228 0.6228
Li5 0.8537 0.8537 0.8537
In1 0.0743 0.0743 0.0743
In2 0.9257 0.9257 0.9257
Hg1 0.2187 0.2187 0.2187
Hg2 0.3052 0.3052 0.3052
Hg3 0.5000 0.5000 0.5000
Hg4 0.6948 0.6948 0.6948
Hg5 0.7813 0.7813 0.7813


6.
Structure and simulated powder diffractogram of LiMgIn2Hg (the GGA-PBE geometry in Alexandria; Cu Kα (λ = 1.5418 Å)).
Kinematic intensities with the Lorentz-polarization factor, no thermal factor.

Main lines, sorted by position (5 to 70 degrees two-theta):
- 2θ 22.3, intensity 38.7
- 2θ 24.2, intensity 46.2
- 2θ 28.2, intensity 30.2
- 2θ 32.9, intensity 100.0
- 2θ 37.5, intensity 18.1
- 2θ 43.6, intensity 24.6
- 2θ 48.4, intensity 26.9
- 2θ 50.5, intensity 25.4
- 2θ 52.8, intensity 11.0
- 2θ 68.2, intensity 12.4

Structural model:
Cell lengths 4.1478, 4.1478, 14.6919 Å; angles 90.00, 90.00, 90.00 degrees
Element x y z (fractional)
Li1 0.0000 0.0000 0.0000
Li2 0.5000 0.5000 0.5000
Mg1 0.0000 0.0000 0.1905
Mg2 0.5000 0.5000 0.6905
In1 0.0000 0.5000 0.3517
In2 0.0000 0.5000 0.8517
In3 0.5000 0.0000 0.3517
In4 0.5000 0.0000 0.8517
Hg1 0.0000 0.0000 0.6098
Hg2 0.5000 0.5000 0.1098


7.
Structure and simulated powder diffractogram of Li2MgInHg4 (the GGA-PBE geometry in Alexandria; Cu Kα (λ = 1.5418 Å)).
Kinematic intensities with the Lorentz-polarization factor, no thermal factor.

Main lines, sorted by position (5 to 70 degrees two-theta):
- 2θ 25.5, intensity 100.0
- 2θ 36.3, intensity 91.5
- 2θ 36.5, intensity 84.4
- 2θ 44.9, intensity 23.2
- 2θ 52.5, intensity 30.2
- 2θ 59.1, intensity 21.0
- 2θ 59.4, intensity 16.9
- 2θ 65.4, intensity 16.7
- 2θ 65.5, intensity 31.1
- 2θ 65.9, intensity 12.4

Structural model:
Cell lengths 8.5070, 8.5070, 8.5070 Å; angles 33.80, 33.80, 33.80 degrees
Element x y z (fractional)
Li1 0.2476 0.2476 0.2476
Li2 0.7524 0.7524 0.7524
Mg1 0.0000 0.0000 0.0000
In1 0.5000 0.5000 0.5000
Hg1 0.1193 0.1193 0.1193
Hg2 0.3696 0.3696 0.3696
Hg3 0.6304 0.6304 0.6304
Hg4 0.8807 0.8807 0.8807


8.
Structure and simulated powder diffractogram of Na2LiInHg6 (the GGA-PBE geometry in Alexandria; Cu Kα (λ = 1.5418 Å)).
Kinematic intensities with the Lorentz-polarization factor, no thermal factor.

Main lines, sorted by position (5 to 70 degrees two-theta):
- 2θ 16.4, intensity 35.2
- 2θ 16.5, intensity 17.4
- 2θ 28.7, intensity 100.0
- 2θ 33.2, intensity 51.0
- 2θ 33.5, intensity 25.0
- 2θ 37.3, intensity 16.9
- 2θ 47.7, intensity 17.9
- 2θ 47.9, intensity 35.4
- 2θ 56.7, intensity 27.6
- 2θ 59.5, intensity 17.6

Structural model:
Cell lengths 7.6239, 7.6034, 7.5975 Å; angles 60.20, 59.94, 59.86 degrees
Element x y z (fractional)
Na1 0.2500 0.2500 0.2500
Na2 0.7500 0.7500 0.7500
Li1 0.0000 0.0000 0.0000
In1 0.5000 0.5000 0.5000
Hg1 0.2342 0.2342 0.7658
Hg2 0.2342 0.7658 0.2342
Hg3 0.2338 0.7662 0.7662
Hg4 0.7662 0.2338 0.2338
Hg5 0.7658 0.2342 0.7658
Hg6 0.7658 0.7658 0.2342


9.
Structure and simulated powder diffractogram of LiIn4Hg2O8 (the GGA-PBE geometry in Alexandria; Cu Kα (λ = 1.5418 Å)).
Kinematic intensities with the Lorentz-polarization factor, no thermal factor.

Main lines, sorted by position (5 to 70 degrees two-theta):
- 2θ 25.9, intensity 27.4
- 2θ 27.1, intensity 34.4
- 2θ 31.2, intensity 19.9
- 2θ 31.3, intensity 100.0
- 2θ 31.8, intensity 30.7
- 2θ 48.9, intensity 19.5
- 2θ 50.6, intensity 26.5
- 2θ 53.3, intensity 17.7
- 2θ 55.8, intensity 30.0
- 2θ 65.3, intensity 15.8

Structural model:
Cell lengths 6.8861, 6.8861, 6.8861 Å; angles 57.15, 57.15, 57.15 degrees
Element x y z (fractional)
Li1 0.0000 0.0000 0.0000
In1 0.0000 0.5000 0.5000
In2 0.5000 0.0000 0.5000
In3 0.5000 0.5000 0.0000
In4 0.5000 0.5000 0.5000
Hg1 0.1465 0.1465 0.1465
Hg2 0.8535 0.8535 0.8535
O1 0.2588 0.2588 0.7118
O2 0.2588 0.7118 0.2588
O3 0.2730 0.2730 0.2730
O4 0.2882 0.7412 0.7412
O5 0.7118 0.2588 0.2588
O6 0.7270 0.7270 0.7270
O7 0.7412 0.2882 0.7412
O8 0.7412 0.7412 0.2882


10.
Structure and simulated powder diffractogram of LiIn2Hg5Pb (the GGA-PBE geometry in Alexandria; Cu Kα (λ = 1.5418 Å)).
Kinematic intensities with the Lorentz-polarization factor, no thermal factor.

Main lines, sorted by position (5 to 70 degrees two-theta):
- 2θ 22.6, intensity 20.4
- 2θ 24.6, intensity 77.2
- 2θ 33.7, intensity 47.7
- 2θ 33.8, intensity 95.8
- 2θ 34.2, intensity 16.2
- 2θ 36.1, intensity 100.0
- 2θ 37.6, intensity 14.7
- 2θ 52.0, intensity 42.2
- 2θ 53.0, intensity 27.2
- 2θ 63.4, intensity 28.7

Structural model:
Cell lengths 8.8577, 8.8577, 8.8577 Å; angles 147.38, 137.65, 54.46 degrees
Element x y z (fractional)
Li1 0.0000 0.0000 0.0000
In1 0.1933 0.6933 0.5000
In2 0.8067 0.3067 0.5000
Hg1 0.0000 0.5000 0.5000
Hg2 0.1331 0.8650 0.2681
Hg3 0.4031 0.1350 0.2681
Hg4 0.5969 0.8650 0.7319
Hg5 0.8669 0.1350 0.7319
Pb1 0.5000 0.5000 0.0000


11.
Structure and simulated powder diffractogram of RbLiInHg2 (the GGA-PBE geometry in Alexandria; Cu Kα (λ = 1.5418 Å)).
Kinematic intensities with the Lorentz-polarization factor, no thermal factor.

Main lines, sorted by position (5 to 70 degrees two-theta):
- 2θ 16.7, intensity 9.7
- 2θ 23.4, intensity 8.1
- 2θ 28.9, intensity 100.0
- 2θ 33.3, intensity 35.7
- 2θ 33.7, intensity 17.3
- 2θ 47.8, intensity 13.0
- 2θ 48.1, intensity 25.5
- 2θ 56.8, intensity 30.1
- 2θ 57.4, intensity 14.6
- 2θ 59.8, intensity 13.4

Structural model:
Cell lengths 5.3797, 5.3797, 5.3127 Å; angles 90.00, 90.00, 90.00 degrees
Element x y z (fractional)
Rb1 0.0000 0.0000 0.0000
Li1 0.5000 0.5000 0.5000
In1 0.5000 0.5000 0.0000
Hg1 0.0000 0.5000 0.5000
Hg2 0.5000 0.0000 0.5000


12.
Structure and simulated powder diffractogram of Li2ScIn2Hg2 (the GGA-PBE geometry in Alexandria; Cu Kα (λ = 1.5418 Å)).
Kinematic intensities with the Lorentz-polarization factor, no thermal factor.

Main lines, sorted by position (5 to 70 degrees two-theta):
- 2θ 21.9, intensity 90.8
- 2θ 23.7, intensity 38.5
- 2θ 35.4, intensity 100.0
- 2θ 37.7, intensity 91.6
- 2θ 44.0, intensity 15.5
- 2θ 45.1, intensity 43.8
- 2θ 52.7, intensity 31.9
- 2θ 62.0, intensity 15.0
- 2θ 66.6, intensity 31.4
- 2θ 68.1, intensity 16.0

Structural model:
Cell lengths 7.9885, 7.9885, 7.9885 Å; angles 34.74, 34.74, 34.74 degrees
Element x y z (fractional)
Li1 0.1400 0.1400 0.1400
Li2 0.8600 0.8600 0.8600
Sc1 0.0000 0.0000 0.0000
In1 0.2748 0.2748 0.2748
In2 0.7252 0.7252 0.7252
Hg1 0.4313 0.4313 0.4313
Hg2 0.5687 0.5687 0.5687